(1)
For Nd4Y2Mg, a structure optimized by DFT (PBE) gives the simulated powder X-ray diffraction pattern in this record (Cu Kα X-rays).
Peak positions follow from Bragg's law for the DFT cell and can differ from measured ones.

Largest 10 diffraction maxima, by angle, 2θ = 10–90°:
- d 7.814, 11.3 deg, rel. 26.1
- d 2.980, 30.0 deg, rel. 100.0
- d 2.923, 30.6 deg, rel. 51.7
- d 2.907, 30.8 deg, rel. 48.9
- d 2.782, 32.2 deg, rel. 43.9
- d 2.457, 36.6 deg, rel. 55.8
- d 1.845, 49.4 deg, rel. 21.9
- d 1.837, 49.6 deg, rel. 19.7
- d 1.642, 56.0 deg, rel. 13.7
- d 1.509, 61.4 deg, rel. 27.2

Cell lengths 8.7091, 8.7091, 8.7954 Å; angles 116.72, 116.72, 23.37 degrees
Atoms (fractional coordinates):
1 Nd 0.0818 0.0818 0.2037
2 Nd 0.3662 0.3662 0.1019
3 Nd 0.6338 0.6338 0.8981
4 Nd 0.9182 0.9182 0.7963
5 Y 0.2180 0.2180 0.6404
6 Y 0.7820 0.7820 0.3596
7 Mg 0.0000 0.0000 0.5000

---

(2)
For Nd3Y3Mg2, a structure optimized by DFT (PBE) gives the simulated powder X-ray diffraction pattern in this record (Cu Kα X-rays).
Peak positions follow from Bragg's law for the DFT cell and can differ from measured ones.

Largest 10 diffraction maxima, by angle, 2θ = 10–90°:
- d 4.694, 18.9 deg, rel. 43.6
- d 3.286, 27.1 deg, rel. 25.1
- d 3.194, 27.9 deg, rel. 25.5
- d 3.077, 29.0 deg, rel. 100.0
- d 2.960, 30.2 deg, rel. 50.2
- d 2.780, 32.2 deg, rel. 28.5
- d 2.730, 32.8 deg, rel. 73.6
- d 2.701, 33.2 deg, rel. 59.8
- d 2.656, 33.7 deg, rel. 35.6
- d 1.565, 59.0 deg, rel. 39.6

Cell lengths 6.5250, 6.5250, 15.7779 Å; angles 90.00, 90.00, 131.10 degrees
Atoms (fractional coordinates):
1 Nd 0.0370 0.9630 0.6043
2 Nd 0.0370 0.9630 0.8957
3 Nd 0.2470 0.7530 0.7500
4 Nd 0.7530 0.2470 0.2500
5 Nd 0.9630 0.0370 0.1043
6 Nd 0.9630 0.0370 0.3957
7 Y 0.3544 0.6456 0.5337
8 Y 0.3544 0.6456 0.9663
9 Y 0.4773 0.5227 0.2500
10 Y 0.5227 0.4773 0.7500
11 Y 0.6456 0.3544 0.0337
12 Y 0.6456 0.3544 0.4663
13 Mg 0.2300 0.7700 0.1452
14 Mg 0.2300 0.7700 0.3548
15 Mg 0.7700 0.2300 0.6452
16 Mg 0.7700 0.2300 0.8548

---

(3)
For Nd12Y6Mg, a structure optimized by DFT (PBE) gives the simulated powder X-ray diffraction pattern in this record (Cu Kα X-rays).
Peak positions follow from Bragg's law for the DFT cell and can differ from measured ones.

Largest 10 diffraction maxima, by angle, 2θ = 10–90°:
- d 3.904, 22.8 deg, rel. 19.2
- d 3.570, 24.9 deg, rel. 20.3
- d 2.912, 30.7 deg, rel. 100.0
- d 2.890, 30.9 deg, rel. 69.5
- d 2.848, 31.4 deg, rel. 60.7
- d 2.756, 32.5 deg, rel. 64.7
- d 2.728, 32.8 deg, rel. 61.1
- d 1.714, 53.5 deg, rel. 18.0
- d 1.679, 54.7 deg, rel. 17.4
- d 1.619, 56.9 deg, rel. 23.8

Cell lengths 8.6722, 8.6722, 8.6722 Å; angles 90.95, 90.95, 90.95 degrees
Atoms (fractional coordinates):
1 Nd 0.0218 0.2940 0.9548
2 Nd 0.0452 0.9782 0.7060
3 Nd 0.1250 0.3422 0.4523
4 Nd 0.2940 0.9548 0.0218
5 Nd 0.3422 0.4523 0.1250
6 Nd 0.4523 0.1250 0.3422
7 Nd 0.5477 0.8750 0.6578
8 Nd 0.6578 0.5477 0.8750
9 Nd 0.7060 0.0452 0.9782
10 Nd 0.8750 0.6578 0.5477
11 Nd 0.9548 0.0218 0.2940
12 Nd 0.9782 0.7060 0.0452
13 Y 0.2341 0.6055 0.7655
14 Y 0.2345 0.7659 0.3945
15 Y 0.3945 0.2345 0.7659
16 Y 0.6055 0.7655 0.2341
17 Y 0.7655 0.2341 0.6055
18 Y 0.7659 0.3945 0.2345
19 Mg 0.5000 0.5000 0.5000

---

(4)
For Nd2MgZn10, a structure optimized by DFT (PBE) gives the simulated powder X-ray diffraction pattern in this record (Cu Kα X-rays).
Peak positions follow from Bragg's law for the DFT cell and can differ from measured ones.

Largest 10 diffraction maxima, by angle, 2θ = 10–90°:
- d 2.660, 33.7 deg, rel. 35.0
- d 2.594, 34.6 deg, rel. 49.5
- d 2.519, 35.6 deg, rel. 100.0
- d 2.478, 36.2 deg, rel. 53.6
- d 2.469, 36.4 deg, rel. 53.5
- d 2.379, 37.8 deg, rel. 39.5
- d 2.234, 40.4 deg, rel. 34.7
- d 2.164, 41.7 deg, rel. 29.5
- d 2.118, 42.7 deg, rel. 28.0
- d 1.888, 48.2 deg, rel. 34.6

Cell lengths 5.8324, 6.9584, 12.0233 Å; angles 90.00, 91.62, 90.00 degrees
Atoms (fractional coordinates):
1 Nd 0.0340 0.2296 0.4388
2 Nd 0.0340 0.2704 0.9388
3 Nd 0.9660 0.7296 0.0612
4 Nd 0.9660 0.7704 0.5612
5 Mg 0.5000 0.0000 0.0000
6 Mg 0.5000 0.5000 0.5000
7 Zn 0.1612 0.6469 0.3308
8 Zn 0.1612 0.8531 0.8308
9 Zn 0.2150 0.1345 0.6943
10 Zn 0.2150 0.3655 0.1943
11 Zn 0.2394 0.5071 0.7262
12 Zn 0.2394 0.9929 0.2262
13 Zn 0.4331 0.6251 0.9332
14 Zn 0.4331 0.8749 0.4332
15 Zn 0.4668 0.7018 0.1625
16 Zn 0.4668 0.7982 0.6625
17 Zn 0.5332 0.2018 0.3375
18 Zn 0.5332 0.2982 0.8375
19 Zn 0.5669 0.1251 0.5668
20 Zn 0.5669 0.3749 0.0668
21 Zn 0.7606 0.0071 0.7738
22 Zn 0.7606 0.4929 0.2738
23 Zn 0.7850 0.6345 0.8057
24 Zn 0.7850 0.8655 0.3057
25 Zn 0.8388 0.1469 0.1692
26 Zn 0.8388 0.3531 0.6692

---

(5)
For Nd4Mg2Zn, a structure optimized by DFT (PBE) gives the simulated powder X-ray diffraction pattern in this record (Cu Kα X-rays).
Peak positions follow from Bragg's law for the DFT cell and can differ from measured ones.

Largest 10 diffraction maxima, by angle, 2θ = 10–90°:
- d 3.783, 23.5 deg, rel. 100.0
- d 2.685, 33.4 deg, rel. 98.0
- d 2.665, 33.6 deg, rel. 95.4
- d 2.189, 41.2 deg, rel. 23.0
- d 1.891, 48.1 deg, rel. 34.7
- d 1.697, 54.1 deg, rel. 21.1
- d 1.687, 54.4 deg, rel. 20.5
- d 1.550, 59.7 deg, rel. 18.2
- d 1.546, 59.8 deg, rel. 35.9
- d 1.535, 60.3 deg, rel. 17.2

Cell lengths 9.2094, 9.2094, 9.2094 Å; angles 33.90, 33.90, 33.90 degrees
Atoms (fractional coordinates):
1 Nd 0.1230 0.1230 0.1230
2 Nd 0.3745 0.3745 0.3745
3 Nd 0.6255 0.6255 0.6255
4 Nd 0.8770 0.8770 0.8770
5 Mg 0.2472 0.2472 0.2472
6 Mg 0.7528 0.7528 0.7528
7 Zn 0.5000 0.5000 0.5000

---

(6)
For Nd2MgZn6, a structure optimized by DFT (PBE) gives the simulated powder X-ray diffraction pattern in this record (Cu Kα X-rays).
Peak positions follow from Bragg's law for the DFT cell and can differ from measured ones.

Largest 10 diffraction maxima, by angle, 2θ = 10–90°:
- d 3.894, 22.8 deg, rel. 18.1
- d 2.650, 33.8 deg, rel. 40.6
- d 2.589, 34.6 deg, rel. 75.3
- d 2.558, 35.1 deg, rel. 26.9
- d 2.353, 38.2 deg, rel. 100.0
- d 1.841, 49.5 deg, rel. 15.5
- d 1.657, 55.5 deg, rel. 19.1
- d 1.626, 56.6 deg, rel. 23.3
- d 1.477, 62.9 deg, rel. 22.0
- d 1.391, 67.3 deg, rel. 14.1

Cell lengths 5.9076, 5.9076, 6.0030 Å; angles 90.00, 90.00, 120.00 degrees
Atoms (fractional coordinates):
1 Nd 0.3333 0.6667 0.3495
2 Nd 0.6667 0.3333 0.6505
3 Mg 0.0000 0.0000 0.5000
4 Zn 0.1800 0.3601 0.8461
5 Zn 0.1800 0.8200 0.8461
6 Zn 0.3601 0.1800 0.1539
7 Zn 0.6399 0.8200 0.8461
8 Zn 0.8200 0.1800 0.1539
9 Zn 0.8200 0.6399 0.1539

---

(7)
For Nd4MgZn, a structure optimized by DFT (PBE) gives the simulated powder X-ray diffraction pattern in this record (Cu Kα X-rays).
Peak positions follow from Bragg's law for the DFT cell and can differ from measured ones.

Largest 10 diffraction maxima, by angle, 2θ = 10–90°:
- d 8.126, 10.9 deg, rel. 16.9
- d 4.063, 21.9 deg, rel. 35.8
- d 3.541, 25.1 deg, rel. 58.6
- d 2.670, 33.6 deg, rel. 100.0
- d 2.504, 35.9 deg, rel. 46.1
- d 2.132, 42.4 deg, rel. 25.5
- d 1.771, 51.6 deg, rel. 16.2
- d 1.624, 56.7 deg, rel. 14.0
- d 1.578, 58.5 deg, rel. 14.7
- d 1.476, 63.0 deg, rel. 37.8

Cell lengths 5.0080, 5.0080, 8.1259 Å; angles 90.00, 90.00, 90.00 degrees
Atoms (fractional coordinates):
1 Nd 0.0000 0.5000 0.2234
2 Nd 0.0000 0.5000 0.7766
3 Nd 0.5000 0.0000 0.2234
4 Nd 0.5000 0.0000 0.7766
5 Mg 0.0000 0.0000 0.5000
6 Zn 0.5000 0.5000 0.0000

---

(8)
For Nd6MgZn, a structure optimized by DFT (PBE) gives the simulated powder X-ray diffraction pattern in this record (Cu Kα X-rays).
Peak positions follow from Bragg's law for the DFT cell and can differ from measured ones.

Largest 10 diffraction maxima, by angle, 2θ = 10–90°:
- d 3.443, 25.9 deg, rel. 18.8
- d 2.997, 29.8 deg, rel. 9.6
- d 2.869, 31.2 deg, rel. 100.0
- d 2.635, 34.0 deg, rel. 44.1
- d 2.248, 40.1 deg, rel. 8.9
- d 1.979, 45.9 deg, rel. 11.8
- d 1.863, 48.9 deg, rel. 15.9
- d 1.710, 53.6 deg, rel. 15.3
- d 1.620, 56.8 deg, rel. 10.6
- d 1.563, 59.1 deg, rel. 32.1

Cell lengths 9.7332, 9.7332, 9.7332 Å; angles 148.58, 148.58, 45.03 degrees
Atoms (fractional coordinates):
1 Nd 0.1082 0.6082 0.5000
2 Nd 0.2490 0.2490 0.0000
3 Nd 0.3918 0.8918 0.5000
4 Nd 0.6082 0.1082 0.5000
5 Nd 0.7510 0.7510 0.0000
6 Nd 0.8918 0.3918 0.5000
7 Mg 0.0000 0.0000 0.0000
8 Zn 0.5000 0.5000 0.0000

---

(9)
For NdMg8Zn2, a structure optimized by DFT (PBE) gives the simulated powder X-ray diffraction pattern in this record (Cu Kα X-rays).
Peak positions follow from Bragg's law for the DFT cell and can differ from measured ones.

Largest 10 diffraction maxima, by angle, 2θ = 10–90°:
- d 4.583, 19.4 deg, rel. 38.3
- d 3.938, 22.6 deg, rel. 100.0
- d 3.713, 24.0 deg, rel. 49.6
- d 3.625, 24.6 deg, rel. 29.6
- d 2.674, 33.5 deg, rel. 36.0
- d 2.601, 34.5 deg, rel. 41.8
- d 2.518, 35.7 deg, rel. 45.5
- d 2.462, 36.5 deg, rel. 51.6
- d 2.246, 40.1 deg, rel. 31.5
- d 2.228, 40.5 deg, rel. 50.2

Cell lengths 7.5327, 7.5327, 5.2453 Å; angles 98.86, 98.86, 113.87 degrees
Atoms (fractional coordinates):
1 Nd 0.0000 0.0000 0.0000
2 Mg 0.0783 0.3232 0.5934
3 Mg 0.2594 0.7406 0.0000
4 Mg 0.3232 0.0783 0.5934
5 Mg 0.4066 0.4066 0.2005
6 Mg 0.5934 0.5934 0.7995
7 Mg 0.6768 0.9217 0.4066
8 Mg 0.7406 0.2594 0.0000
9 Mg 0.9217 0.6768 0.4066
10 Zn 0.3093 0.6907 0.5000
11 Zn 0.6907 0.3093 0.5000

---

(10)
For Mg5Ni, a structure optimized by DFT (PBE) gives the simulated powder X-ray diffraction pattern in this record (Cu Kα X-rays).
Peak positions follow from Bragg's law for the DFT cell and can differ from measured ones.

Largest 10 diffraction maxima, by angle, 2θ = 10–90°:
- d 7.778, 11.4 deg, rel. 33.2
- d 5.973, 14.8 deg, rel. 100.0
- d 4.663, 19.0 deg, rel. 30.0
- d 2.715, 33.0 deg, rel. 28.9
- d 2.564, 35.0 deg, rel. 28.3
- d 2.445, 36.8 deg, rel. 86.1
- d 2.331, 38.6 deg, rel. 32.6
- d 2.266, 39.8 deg, rel. 51.6
- d 2.226, 40.5 deg, rel. 42.1
- d 2.184, 41.3 deg, rel. 58.3

Cell lengths 9.3256, 3.3404, 7.7784 Å; angles 90.00, 90.00, 90.00 degrees
Atoms (fractional coordinates):
1 Mg 0.0000 0.0000 0.0000
2 Mg 0.0627 0.5000 0.3158
3 Mg 0.2500 0.0000 0.5685
4 Mg 0.2500 0.5000 0.9139
5 Mg 0.4373 0.5000 0.3158
6 Mg 0.5000 0.0000 0.0000
7 Mg 0.5627 0.5000 0.6842
8 Mg 0.7500 0.0000 0.4315
9 Mg 0.7500 0.5000 0.0861
10 Mg 0.9373 0.5000 0.6842
11 Ni 0.2500 0.0000 0.1790
12 Ni 0.7500 0.0000 0.8210

---

(11)
For Mg7Ni, a structure optimized by DFT (PBE) gives the simulated powder X-ray diffraction pattern in this record (Cu Kα X-rays).
Peak positions follow from Bragg's law for the DFT cell and can differ from measured ones.

Largest 10 diffraction maxima, by angle, 2θ = 10–90°:
- d 5.359, 16.5 deg, rel. 18.1
- d 3.599, 24.7 deg, rel. 8.5
- d 2.679, 33.4 deg, rel. 26.4
- d 2.429, 37.0 deg, rel. 24.6
- d 2.346, 38.4 deg, rel. 100.0
- d 1.799, 50.7 deg, rel. 15.4
- d 1.547, 59.8 deg, rel. 16.6
- d 1.386, 67.6 deg, rel. 17.2
- d 1.305, 72.4 deg, rel. 17.9
- d 1.291, 73.3 deg, rel. 13.0

Cell lengths 6.1876, 6.1876, 4.8570 Å; angles 90.00, 90.00, 120.00 degrees
Atoms (fractional coordinates):
1 Mg 0.0000 0.0000 0.0000
2 Mg 0.0175 0.5088 0.0000
3 Mg 0.3334 0.1667 0.5000
4 Mg 0.4912 0.5088 0.0000
5 Mg 0.4912 0.9825 0.0000
6 Mg 0.8333 0.1667 0.5000
7 Mg 0.8333 0.6666 0.5000
8 Ni 0.3333 0.6667 0.5000

---

(12)
For Mg2Ni, a structure optimized by DFT (PBE) gives the simulated powder X-ray diffraction pattern in this record (Cu Kα X-rays).
Peak positions follow from Bragg's law for the DFT cell and can differ from measured ones.

Largest 10 diffraction maxima, by angle, 2θ = 10–90°:
- d 4.504, 19.7 deg, rel. 16.9
- d 4.382, 20.3 deg, rel. 48.9
- d 4.261, 20.8 deg, rel. 28.2
- d 3.715, 24.0 deg, rel. 15.4
- d 2.418, 37.2 deg, rel. 34.7
- d 2.271, 39.7 deg, rel. 35.3
- d 2.252, 40.0 deg, rel. 51.2
- d 2.191, 41.2 deg, rel. 17.3
- d 2.003, 45.3 deg, rel. 100.0
- d 1.300, 72.7 deg, rel. 17.4

Cell lengths 5.2011, 5.2011, 13.1451 Å; angles 90.00, 90.00, 120.00 degrees
Atoms (fractional coordinates):
1 Mg 0.0000 0.5000 0.0510
2 Mg 0.0000 0.5000 0.2824
3 Mg 0.1648 0.3295 0.5000
4 Mg 0.1648 0.8352 0.8333
5 Mg 0.3295 0.1648 0.1667
6 Mg 0.5000 0.0000 0.3843
7 Mg 0.5000 0.0000 0.6157
8 Mg 0.5000 0.5000 0.7176
9 Mg 0.5000 0.5000 0.9490
10 Mg 0.6705 0.8352 0.1667
11 Mg 0.8352 0.1648 0.8333
12 Mg 0.8352 0.6705 0.5000
13 Ni 0.0000 0.0000 0.0000
14 Ni 0.0000 0.0000 0.3333
15 Ni 0.0000 0.0000 0.6667
16 Ni 0.0000 0.5000 0.6667
17 Ni 0.5000 0.0000 0.0000
18 Ni 0.5000 0.5000 0.3333